Starting from a DFT-relaxed cell (GGA+U, Alexandria), the powder diffraction line list of Li4CoNi5O12 was computed for a wavelength of 1.5418 Å.

Structure:
abc: 5.003 8.426 10.006
angles: 90.00 100.40 90.00
Space group C2/m (No. 12)
Inequivalent atoms, fractional coordinates:
1 Li 0.086 0.169 0.255 (multiplicity 8)
2 Co 0.000 0.000 0.500 (multiplicity 2)
3 Ni 0.000 0.167 0.000 (multiplicity 4)
4 Ni 0.000 0.335 0.500 (multiplicity 4)
5 Ni 0.000 0.500 0.000 (multiplicity 2)
6 O 0.104 0.000 0.895 (multiplicity 4)
7 O 0.144 0.321 0.895 (multiplicity 8)
8 O 0.178 0.167 0.606 (multiplicity 8)
9 O 0.211 0.500 0.601 (multiplicity 4)

Main lines, by angle (2θ = 15–90°):
two_theta, d [Å], intensity
18.0, 4.921, 100
36.5, 2.460, 15
37.2, 2.419, 16
37.8, 2.379, 9
38.8, 2.320, 15
44.2, 2.047, 17
47.3, 1.922, 9
48.5, 1.879, 17
57.5, 1.603, 16
65.1, 1.434, 10